Calculated powder X-ray diffraction pattern of V2CuAgO6 for λ = 1.5418 Å (Cu Kα), from DFT lattice parameters and positions (PBE+U).
No peak broadening, texture or thermal motion is included.

Structure:
Cell lengths 10.7765, 10.3507, 5.8282 Å; angles 90.00, 113.65, 90.00 degrees
Space group C2/c (No. 15)
Asymmetric unit:
V (0.1859, 0.0865, 0.2031) x8
Cu (0.0000, 0.2898, 0.7500) x4
Ag (0.0000, 0.4014, 0.2500) x4
O (0.1117, 0.2311, 0.0870) x8
O (0.1404, 0.3995, 0.6749) x8
O (0.1406, 0.0324, 0.4558) x8

Most intense lines, 10 to 80 degrees two-theta, in order of rising 2θ:
2θ (°)  I (rel.)
12.4  76
18.0  40
25.7  93
28.5  100
30.2  76
32.2  29
33.6  48
34.1  57
38.5  36
39.8  33